Record 1
Diffraction record for PrSi3Ir5. The X-ray diffraction stick pattern is computed, not measured: it uses a crystal structure in Alexandria, relaxed with PBE and CuKα.
Lines closer than 0.1° are merged.

Structure:
Cell lengths 3.944, 12.392, 12.396 Å; angles 90.00, 90.00, 90.00 degrees
Space group Cmcm (No. 63)
Unique sites:
Pr 0.000 0.158 0.250 (multiplicity 4)
Si 0.000 0.121 0.750 (multiplicity 4)
Si 0.000 0.386 0.541 (multiplicity 8)
Ir 0.000 0.000 0.000 (multiplicity 4)
Ir 0.000 0.204 0.573 (multiplicity 8)
Ir 0.000 0.446 0.146 (multiplicity 8)

Most intense lines, 10° ≤ 2θ ≤ 90°, by intensity:
| 2θ (°) | Rel. int. | index |
| --- | --- | --- |
| 32.20 | 100 | 1 1 3 |
| 37.62 | 62 | 1 1 4 |
| 43.11 | 46 | 1 5 0 |
| 46.03 | 41 | 2 0 0 |
| 46.32 | 34 | 0 2 6 |
| 25.92 | 34 | 0 2 3 |
| 31.36 | 31 | 1 3 0 |
| 14.29 | 30 | 0 0 2 |
| 45.64 | 23 | 1 5 2 |
| 15.99 | 23 | 0 2 1 |


Record 2
Diffraction record for CaPr4Hg4. The X-ray diffraction stick pattern is computed, not measured: it uses a crystal structure in Alexandria, relaxed with PBE and CuKα.
Lines closer than 0.1° are merged.

Structure:
Cell lengths 10.005, 10.005, 6.186 Å; angles 90.00, 90.00, 90.00 degrees
Space group P4_2/n (No. 86, origin choice 2)
Unique sites:
Ca 0.250 0.250 0.250 (multiplicity 2)
Pr 0.086 0.660 0.151 (multiplicity 8)
Hg 0.019 0.616 0.651 (multiplicity 8)

Most intense lines, 10° ≤ 2θ ≤ 90°, by intensity:
| 2θ (°) | Rel. int. | index |
| --- | --- | --- |
| 28.21 | 100 | 1 3 0 |
| 30.25 | 50 | 1 0 2 |
| 35.45 | 38 | 2 3 1 |
| 43.83 | 37 | 3 2 2 |
| 35.28 | 36 | 1 2 2 |
| 17.73 | 33 | 2 0 0 |
| 12.51 | 31 | 1 1 0 |
| 39.75 | 31 | 3 0 2 |
| 40.31 | 25 | 4 2 0 |
| 39.91 | 16 | 4 1 1 |